No. 1
Computed X-ray powder pattern
Compound: Sm8Ga21Ru11
Radiation: a wavelength of 1.5418 Å
Structure: the GGA-PBE geometry in Alexandria

Most intense lines, 5° ≤ 2θ ≤ 70°, sorted by position:
2θ = 29.40°, intensity 77; 2θ = 32.38°, intensity 58; 2θ = 35.20°, intensity 50; 2θ = 36.18°, intensity 74; 2θ = 36.41°, intensity 55; 2θ = 38.76°, intensity 30; 2θ = 38.98°, intensity 100; 2θ = 42.72°, intensity 28; 2θ = 45.77°, intensity 27; 2θ = 46.69°, intensity 37

a b c (Å): 11.402 11.402 5.639
angles (deg): 90.00 90.00 90.13
Sites, in units of the cell vectors:
Sm (0.077, 0.735, 0.254)
Sm (0.236, 0.422, 0.243)
Sm (0.265, 0.923, 0.746)
Sm (0.422, 0.236, 0.757)
Sm (0.578, 0.764, 0.757)
Sm (0.735, 0.077, 0.746)
Sm (0.764, 0.578, 0.243)
Sm (0.923, 0.265, 0.254)
Ga (0.000, 0.500, 0.004)
Ga (0.000, 0.500, 0.497)
Ga (0.029, 0.815, 0.752)
Ga (0.175, 0.175, 0.000)
Ga (0.178, 0.178, 0.500)
Ga (0.185, 0.971, 0.248)
Ga (0.310, 0.473, 0.734)
Ga (0.315, 0.685, 0.000)
Ga (0.324, 0.676, 0.500)
Ga (0.473, 0.310, 0.266)
Ga (0.500, 0.000, 0.503)
Ga (0.500, 0.000, 0.996)
Ga (0.500, 0.500, 0.000)
Ga (0.527, 0.690, 0.266)
Ga (0.676, 0.324, 0.500)
Ga (0.685, 0.315, 0.000)
Ga (0.690, 0.527, 0.734)
Ga (0.815, 0.029, 0.248)
Ga (0.822, 0.822, 0.500)
Ga (0.825, 0.825, 0.000)
Ga (0.971, 0.185, 0.752)
Ru (0.000, 0.000, 0.000)
Ru (0.000, 0.000, 0.500)
Ru (0.121, 0.354, 0.751)
Ru (0.144, 0.622, 0.752)
Ru (0.354, 0.121, 0.249)
Ru (0.378, 0.856, 0.248)
Ru (0.500, 0.500, 0.500)
Ru (0.622, 0.144, 0.248)
Ru (0.646, 0.879, 0.249)
Ru (0.856, 0.378, 0.752)
Ru (0.879, 0.646, 0.751)

=====

No. 2
Computed X-ray powder pattern
Compound: Sm2ZnGaRu2
Radiation: a wavelength of 1.5418 Å
Structure: the GGA-PBE geometry in Alexandria

Most intense lines, 5° ≤ 2θ ≤ 70°, sorted by position:
2θ = 30.46°, intensity 39; 2θ = 30.65°, intensity 38; 2θ = 33.06°, intensity 36; 2θ = 33.23°, intensity 36; 2θ = 33.38°, intensity 100; 2θ = 39.97°, intensity 65; 2θ = 40.11°, intensity 64; 2θ = 43.76°, intensity 94; 2θ = 56.75°, intensity 25; 2θ = 59.52°, intensity 23

a b c (Å): 8.178 8.178 8.178
angles (deg): 138.20 60.79 137.94
Sites, in units of the cell vectors:
Sm (0.169, 0.246, 0.415)
Sm (0.331, 0.746, 0.077)
Sm (0.669, 0.254, 0.923)
Sm (0.831, 0.754, 0.585)
Zn (0.250, 0.250, 0.000)
Zn (0.750, 0.750, 0.000)
Ga (0.250, 0.750, 0.500)
Ga (0.750, 0.250, 0.500)
Ru (0.114, 0.741, 0.854)
Ru (0.386, 0.241, 0.627)
Ru (0.614, 0.759, 0.373)
Ru (0.886, 0.259, 0.146)

=====

No. 3
Computed X-ray powder pattern
Compound: SrGaSn2Ru2
Radiation: a wavelength of 1.5418 Å
Structure: the GGA-PBE geometry in Alexandria

Most intense lines, 5° ≤ 2θ ≤ 70°, sorted by position:
2θ = 14.39°, intensity 46; 2θ = 26.89°, intensity 23; 2θ = 30.63°, intensity 46; 2θ = 34.87°, intensity 100; 2θ = 38.40°, intensity 88; 2θ = 39.97°, intensity 35; 2θ = 41.21°, intensity 13; 2θ = 52.83°, intensity 62; 2θ = 55.43°, intensity 30; 2θ = 67.18°, intensity 15

a b c (Å): 4.688 4.688 6.157
angles (deg): 90.00 90.00 90.00
Sites, in units of the cell vectors:
Sr (0.000, 0.000, 0.000)
Ga (0.000, 0.000, 0.500)
Sn (0.500, 0.500, 0.245)
Sn (0.500, 0.500, 0.755)
Ru (0.000, 0.500, 0.500)
Ru (0.500, 0.000, 0.500)

=====

No. 4
Computed X-ray powder pattern
Compound: Sr2Ga6Ru
Radiation: a wavelength of 1.5418 Å
Structure: the GGA-PBE geometry in Alexandria

Most intense lines, 5° ≤ 2θ ≤ 70°, sorted by position:
2θ = 16.87°, intensity 13; 2θ = 33.19°, intensity 40; 2θ = 34.12°, intensity 11; 2θ = 34.85°, intensity 33; 2θ = 37.46°, intensity 100; 2θ = 46.24°, intensity 23; 2θ = 49.43°, intensity 13; 2θ = 55.77°, intensity 18; 2θ = 61.08°, intensity 25; 2θ = 66.91°, intensity 10

a b c (Å): 6.069 6.069 5.907
angles (deg): 90.00 90.00 120.00
Sites, in units of the cell vectors:
Sr (0.333, 0.667, 0.341)
Sr (0.667, 0.333, 0.659)
Ga (0.165, 0.331, 0.824)
Ga (0.165, 0.835, 0.824)
Ga (0.331, 0.165, 0.176)
Ga (0.669, 0.835, 0.824)
Ga (0.835, 0.165, 0.176)
Ga (0.835, 0.669, 0.176)
Ru (0.000, 0.000, 0.500)

=====

No. 5
Computed X-ray powder pattern
Compound: Tb2Ga5Ru
Radiation: a wavelength of 1.5418 Å
Structure: the GGA-PBE geometry in Alexandria

Most intense lines, 5° ≤ 2θ ≤ 70°, sorted by position:
2θ = 29.03°, intensity 15; 2θ = 29.39°, intensity 71; 2θ = 34.26°, intensity 21; 2θ = 36.05°, intensity 100; 2θ = 41.52°, intensity 58; 2θ = 42.55°, intensity 30; 2θ = 45.51°, intensity 14; 2θ = 51.68°, intensity 21; 2θ = 60.17°, intensity 16; 2θ = 60.97°, intensity 34

a b c (Å): 6.081 6.081 6.081
angles (deg): 119.23 119.23 91.34
Sites, in units of the cell vectors:
Tb (0.000, 0.500, 0.500)
Tb (0.500, 0.000, 0.500)
Ga (0.040, 0.040, 0.574)
Ga (0.040, 0.466, 0.000)
Ga (0.466, 0.040, 0.000)
Ga (0.466, 0.466, 0.426)
Ga (0.491, 0.491, 0.000)
Ru (0.777, 0.777, 0.000)

=====

No. 6
Computed X-ray powder pattern
Compound: Tb12GaRu6
Radiation: a wavelength of 1.5418 Å
Structure: the GGA-PBE geometry in Alexandria

Most intense lines, 5° ≤ 2θ ≤ 70°, sorted by position:
2θ = 28.72°, intensity 16; 2θ = 31.53°, intensity 44; 2θ = 34.13°, intensity 100; 2θ = 36.57°, intensity 22; 2θ = 38.88°, intensity 12; 2θ = 47.15°, intensity 22; 2θ = 54.44°, intensity 25; 2θ = 56.15°, intensity 13; 2θ = 57.83°, intensity 30; 2θ = 67.37°, intensity 19

a b c (Å): 8.512 8.512 8.512
angles (deg): 109.47 109.47 109.47
Sites, in units of the cell vectors:
Tb (0.100, 0.294, 0.805)
Tb (0.195, 0.489, 0.294)
Tb (0.195, 0.900, 0.706)
Tb (0.294, 0.195, 0.489)
Tb (0.294, 0.805, 0.100)
Tb (0.489, 0.294, 0.195)
Tb (0.511, 0.706, 0.805)
Tb (0.706, 0.195, 0.900)
Tb (0.706, 0.805, 0.511)
Tb (0.805, 0.100, 0.294)
Tb (0.805, 0.511, 0.706)
Tb (0.900, 0.706, 0.195)
Ga (0.000, 0.000, 0.000)
Ru (0.124, 0.500, 0.624)
Ru (0.376, 0.876, 0.500)
Ru (0.500, 0.376, 0.876)
Ru (0.500, 0.624, 0.124)
Ru (0.624, 0.124, 0.500)
Ru (0.876, 0.500, 0.376)